Theoretical powder XRD pattern of CaCd8Au4 for copper Kα, from a crystal structure in Alexandria, relaxed with GGA-PBE.
Intensities are scaled so that the largest is 100.

Structure:
Unit cell a=9.962 b=9.962 c=5.661 alpha=90.00 beta=90.00 gamma=90.00
Space group I4/mmm (No. 139)
One atom of each set of equivalent atoms:
Ca  0.000  0.000  0.000 x2
Cd  0.000  0.213  0.500 x8
Cd  0.000  0.348  0.000 x8
Au  0.250  0.250  0.250 x8

Main lines, sorted by position (15 to 90 degrees two-theta):
2θ 17.81, I 72
2θ 36.06, I 64
2θ 36.18, I 47
2θ 36.51, I 81
2θ 40.50, I 69
2θ 40.60, I 25
2θ 40.90, I 100
2θ 65.14, I 30

Theoretical powder XRD pattern of Ba2Cu5P4 for copper Kα, from a crystal structure in Alexandria, relaxed with GGA-PBE.
Intensities are scaled so that the largest is 100.

Structure:
Unit cell a=5.725 b=11.444 c=12.699 alpha=90.00 beta=90.00 gamma=90.00
Space group Fmmm (No. 69)
One atom of each set of equivalent atoms:
Ba  0.000  0.000  0.148 x8
Cu  0.000  0.000  0.500 x4
Cu  0.250  0.250  0.000 x8
Cu  0.250  0.250  0.250 x8
P  0.000  0.155  0.374 x16

Main lines, sorted by position (15 to 90 degrees two-theta):
2θ 27.34, I 84
2θ 28.99, I 31
2θ 31.26, I 64
2θ 32.25, I 58
2θ 35.05, I 100
2θ 35.34, I 99
2θ 42.53, I 62
2θ 58.12, I 47

Theoretical powder XRD pattern of Ag2BPd6 for copper Kα, from a crystal structure in Alexandria, relaxed with GGA-PBE.
Intensities are scaled so that the largest is 100.

Structure:
Unit cell a=5.800 b=5.800 c=8.116 alpha=90.00 beta=90.00 gamma=90.00
Space group I4/mmm (No. 139)
One atom of each set of equivalent atoms:
Ag  0.000  0.500  0.250 x4
B  0.000  0.000  0.000 x2
Pd  0.000  0.000  0.256 x4
Pd  0.246  0.246  0.500 x8

Main lines, sorted by position (15 to 90 degrees two-theta):
2θ 38.14, I 100
2θ 44.17, I 34
2θ 44.66, I 16
2θ 64.24, I 11
2θ 64.62, I 21
2θ 77.23, I 24
2θ 77.94, I 12
2θ 81.61, I 11

Theoretical powder XRD pattern of PmHoCS for copper Kα, from a crystal structure in Alexandria, relaxed with GGA-PBE.
Intensities are scaled so that the largest is 100.

Structure:
Unit cell a=3.855 b=3.855 c=5.346 alpha=90.00 beta=90.00 gamma=90.00
Space group P4/mmm (No. 123)
One atom of each set of equivalent atoms:
Pm  0.000  0.000  0.000 x1
Ho  0.500  0.500  0.500 x1
C  0.000  0.000  0.500 x1
S  0.500  0.500  0.000 x1

Main lines, sorted by position (15 to 90 degrees two-theta):
2θ 28.55, I 100
2θ 32.86, I 62
2θ 33.52, I 30
2θ 47.16, I 22
2θ 47.65, I 43
2θ 56.05, I 32
2θ 56.93, I 15
2θ 59.09, I 23

Question: Number 3 is which compound?
Answer: Ag2BPd6

Question: What is the formula in the fourth record?
Answer: PmHoCS